(1)
This entry pairs a crystal structure of CsNaICl with its calculated X-ray diffraction stick pattern. Radiation: Cu Kα X-rays. Structure: DFT lattice parameters and positions (GGA-PBE).

Atomic structure:
Cell: 4.768 4.768 7.578 Å, 90.00 90.00 90.00°
Space group P4/mmm (No. 123)
Symmetry-distinct sites (fractional):
Cs  0.000  0.000  0.000
Na  0.500  0.500  0.500
I  0.000  0.000  0.500
Cl  0.500  0.500  0.000

Principal peaks in the range 2θ = 10–90°, by angle:
2θ (°)  I (rel.)  (hkl)
18.61  85  1 0 0
23.48  68  0 0 2
26.44  100  1 1 0
30.13  53  1 0 2
35.65  89  1 1 2
37.74  38  2 0 0
42.39  21  2 1 0
44.92  46  2 0 2
49.02  28  2 1 2
55.65  24  1 1 4
60.07  19  2 2 2
66.78  27  3 1 2

***

(2)
This entry pairs a crystal structure of Cs2PbI2Cl2 with its calculated X-ray diffraction stick pattern. Radiation: Cu Kα X-rays. Structure: DFT lattice parameters and positions (GGA-PBE).

Atomic structure:
Cell: 5.768 5.768 19.486 Å, 90.00 90.00 90.00°
Space group I4/mmm (No. 139)
Symmetry-distinct sites (fractional):
Cs  0.000  0.000  0.131
Pb  0.000  0.000  0.500
I  0.000  0.000  0.334
Cl  0.000  0.500  0.000

Principal peaks in the range 2θ = 10–90°, by angle:
2θ (°)  I (rel.)  (hkl)
16.03  23  1 0 1
21.79  100  1 1 0
27.46  24  0 0 6
27.62  61  1 0 5
31.01  63  2 0 0
35.33  28  1 1 6
41.89  31  2 0 6
42.00  39  2 1 5
44.43  23  2 2 0
50.01  22  3 1 0
53.06  25  2 2 6
63.74  21  2 1 11

***

(3)
This entry pairs a crystal structure of Cs5U2S4ICl8 with its calculated X-ray diffraction stick pattern. Radiation: Cu Kα X-rays. Structure: DFT lattice parameters and positions (GGA-PBE).

Atomic structure:
Cell: 7.731 10.826 17.569 Å, 90.00 90.00 90.00°
Space group Immm (No. 71)
Symmetry-distinct sites (fractional):
Cs  0.000  0.000  0.000
Cs  0.000  0.261  0.336
U  0.000  0.500  0.107
S  0.233  0.404  0.000
I  0.000  0.500  0.500
Cl  0.000  0.248  0.137
Cl  0.241  0.500  0.217

Principal peaks in the range 2θ = 10–90°, by angle:
2θ (°)  I (rel.)  (hkl)
14.08  100  1 1 0
17.22  38  0 1 3
19.26  56  0 2 2
20.66  94  1 2 1
23.01  77  2 0 0
25.19  73  1 2 3
27.89  39  1 0 5
30.18  66  2 2 2
30.81  42  2 0 4
33.10  51  0 4 0
35.51  79  2 1 5
40.70  50  2 4 0

***

(4)
This entry pairs a crystal structure of CsW3I3Cl4 with its calculated X-ray diffraction stick pattern. Radiation: Cu Kα X-rays. Structure: DFT lattice parameters and positions (GGA-PBE).

Atomic structure:
Cell: 10.7422 10.7422 16.0797 Å, 90.00 90.00 120.00°
Space group P31c (No. 159)
Symmetry-distinct sites (fractional):
Cs  0.0000  0.0000  0.0000
Cs  0.3333  0.6667  0.2145
W  0.1866  0.6562  0.6471
W  0.1955  0.5204  0.7810
I  0.0268  0.3260  0.3753
I  0.0463  0.6764  0.0518
Cl  0.0569  0.6519  0.7793
Cl  0.0750  0.3867  0.6487
Cl  0.3333  0.6667  0.5232
Cl  0.3333  0.6667  0.9042

Principal peaks in the range 2θ = 10–90°, by angle:
2θ (°)  I (rel.)  (hkl)
10.99  100  1 0 1
14.56  31  1 0 2
19.88  35  2 -1 2
27.71  15  1 1 4
28.79  10  3 0 0
35.23  15  3 1 1
38.73  9  3 1 3
40.41  36  4 -2 4
42.74  9  3 2 1
44.69  8  3 0 6
45.76  18  3 2 3
46.13  10  4 1 2

***

(5)
This entry pairs a crystal structure of CsInCl3 with its calculated X-ray diffraction stick pattern. Radiation: Cu Kα X-rays. Structure: DFT lattice parameters and positions (GGA-PBE).

Atomic structure:
Cell: 11.169 11.169 11.169 Å, 90.00 90.00 90.00°
Space group Fm-3m (No. 225)
Symmetry-distinct sites (fractional):
Cs  0.250  0.250  0.250
In  0.000  0.000  0.000
In  0.000  0.000  0.500
Cl  0.000  0.000  0.230

Principal peaks in the range 2θ = 10–90°, by angle:
2θ (°)  I (rel.)  (hkl)
22.52  100  2 2 0
27.67  13  2 2 2
32.05  56  4 0 0
39.53  45  4 2 2
45.96  38  4 4 0
51.76  23  6 2 0
57.13  13  4 4 4
62.20  26  6 4 2
71.70  12  6 6 0
76.24  15  8 4 0
85.10  11  8 4 4
89.48  15  10 2 0

***

(6)
This entry pairs a crystal structure of Cs2LiInCl6 with its calculated X-ray diffraction stick pattern. Radiation: Cu Kα X-rays. Structure: DFT lattice parameters and positions (GGA-PBE).

Atomic structure:
Cell: 7.4725 7.4725 36.9047 Å, 90.00 90.00 120.00°
Space group R-3m (No. 166, hexagonal axes)
Symmetry-distinct sites (fractional):
Cs  0.0000  0.0000  0.1261
Cs  0.0000  0.0000  0.2893
Li  0.0000  0.0000  0.4109
In  0.0000  0.0000  0.0000
In  0.0000  0.0000  0.5000
Cl  0.0091  0.5045  0.7064
Cl  0.0205  0.5102  0.1247

Principal peaks in the range 2θ = 10–90°, by angle:
2θ (°)  I (rel.)  (hkl)
18.23  43  0 1 5
21.74  40  1 0 7
23.69  33  0 1 8
23.82  100  1 1 0
29.03  27  0 0 12
30.16  88  2 0 5
32.47  78  0 2 7
33.84  24  2 0 8
36.95  32  0 2 10
41.85  39  3 0 0
44.32  21  2 0 14
48.75  49  2 2 0

***

(7)
This entry pairs a crystal structure of Cs2LiInCl6 with its calculated X-ray diffraction stick pattern. Radiation: Cu Kα X-rays. Structure: DFT lattice parameters and positions (GGA-PBE).

Atomic structure:
Cell: 10.494 10.494 10.494 Å, 90.00 90.00 90.00°
Space group Fm-3m (No. 225)
Symmetry-distinct sites (fractional):
Cs  0.250  0.250  0.250
Li  0.000  0.000  0.000
In  0.000  0.000  0.500
Cl  0.000  0.000  0.256

Principal peaks in the range 2θ = 10–90°, by angle:
2θ (°)  I (rel.)  (hkl)
14.62  32  1 1 1
23.99  100  2 2 0
28.21  17  3 1 1
29.49  54  2 2 2
34.18  75  4 0 0
42.19  46  4 2 2
49.11  50  4 4 0
55.37  21  6 2 0
58.33  20  6 2 2
61.19  17  4 4 4
66.70  24  6 4 2
82.16  22  8 4 0

***

(8)
This entry pairs a crystal structure of Cs2NaInCl6 with its calculated X-ray diffraction stick pattern. Radiation: Cu Kα X-rays. Structure: DFT lattice parameters and positions (GGA-PBE).

Atomic structure:
Cell: 10.755 10.755 10.755 Å, 90.00 90.00 90.00°
Space group Fm-3m (No. 225)
Symmetry-distinct sites (fractional):
Cs  0.250  0.250  0.250
Na  0.000  0.000  0.000
In  0.000  0.000  0.500
Cl  0.000  0.000  0.262

Principal peaks in the range 2θ = 10–90°, by angle:
2θ (°)  I (rel.)  (hkl)
14.26  24  1 1 1
23.39  100  2 2 0
28.75  42  2 2 2
33.32  71  4 0 0
41.12  45  4 2 2
47.84  47  4 4 0
53.92  22  6 2 0
56.78  15  6 2 2
59.55  16  4 4 4
64.88  25  6 4 2
79.75  20  8 4 0
89.23  15  8 4 4

***

(9)
This entry pairs a crystal structure of Cs2InSbCl6 with its calculated X-ray diffraction stick pattern. Radiation: Cu Kα X-rays. Structure: DFT lattice parameters and positions (GGA-PBE).

Atomic structure:
Cell: 11.342 11.342 11.342 Å, 90.00 90.00 90.00°
Space group Fm-3m (No. 225)
Symmetry-distinct sites (fractional):
Cs  0.250  0.250  0.250
In  0.000  0.000  0.000
Sb  0.000  0.000  0.500
Cl  0.000  0.000  0.264

Principal peaks in the range 2θ = 10–90°, by angle:
2θ (°)  I (rel.)  (hkl)
22.17  100  2 2 0
27.24  13  2 2 2
31.55  58  4 0 0
38.90  46  4 2 2
45.22  40  4 4 0
50.92  23  6 2 0
56.19  13  4 4 4
61.15  26  6 4 2
70.44  12  6 6 0
74.88  16  8 4 0
83.51  12  8 4 4
87.76  14  10 2 0

***

(10)
This entry pairs a crystal structure of Cs2YInCl6 with its calculated X-ray diffraction stick pattern. Radiation: Cu Kα X-rays. Structure: DFT lattice parameters and positions (GGA-PBE).

Atomic structure:
Cell: 11.445 11.445 11.445 Å, 90.00 90.00 90.00°
Space group Fm-3m (No. 225)
Symmetry-distinct sites (fractional):
Cs  0.250  0.250  0.250
Y  0.000  0.000  0.000
In  0.000  0.000  0.500
Cl  0.000  0.000  0.231

Principal peaks in the range 2θ = 10–90°, by angle:
2θ (°)  I (rel.)  (hkl)
21.97  100  2 2 0
26.99  18  2 2 2
31.26  60  4 0 0
38.54  45  4 2 2
44.80  41  4 4 0
50.43  23  6 2 0
55.64  14  4 4 4
60.54  26  6 4 2
69.72  12  6 6 0
74.10  16  8 4 0
82.60  12  8 4 4
86.78  14  10 2 0

***

(11)
This entry pairs a crystal structure of Cs2IrCl6 with its calculated X-ray diffraction stick pattern. Radiation: Cu Kα X-rays. Structure: DFT lattice parameters and positions (GGA-PBE).

Atomic structure:
Cell: 10.521 10.521 10.521 Å, 90.00 90.00 90.00°
Space group Fm-3m (No. 225)
Symmetry-distinct sites (fractional):
Cs  0.250  0.250  0.250
Ir  0.000  0.000  0.000
Cl  0.000  0.000  0.223

Principal peaks in the range 2θ = 10–90°, by angle:
2θ (°)  I (rel.)  (hkl)
14.58  74  1 1 1
23.92  100  2 2 0
28.13  29  3 1 1
29.41  22  2 2 2
34.09  58  4 0 0
42.08  43  4 2 2
44.76  19  5 1 1
48.98  38  4 4 0
51.38  17  5 3 1
55.22  24  6 2 0
66.51  26  6 4 2
81.90  15  8 4 0

***

(12)
This entry pairs a crystal structure of Cs2IrCl5O with its calculated X-ray diffraction stick pattern. Radiation: Cu Kα X-rays. Structure: DFT lattice parameters and positions (GGA-PBE).

Atomic structure:
Cell: 7.192 17.949 8.724 Å, 90.00 90.00 90.00°
Space group Cmcm (No. 63)
Symmetry-distinct sites (fractional):
Cs  0.000  0.028  0.250
Cs  0.000  0.259  0.750
Ir  0.000  0.390  0.250
Cl  0.000  0.256  0.250
Cl  0.233  0.385  0.058
O  0.000  0.491  0.250

Principal peaks in the range 2θ = 10–90°, by angle:
2θ (°)  I (rel.)  (hkl)
14.16  42  0 2 1
19.30  30  1 3 0
20.36  41  0 0 2
21.84  100  1 3 1
24.76  22  2 0 0
28.20  20  1 3 2
31.62  22  0 6 1
32.26  64  2 0 2
36.56  25  1 3 3
40.56  15  2 6 1
41.90  17  3 3 1
50.60  20  2 6 3